Structure and calculated powder XRD pattern of Pa3Fe7Co2 (a GGA-PBE-relaxed structure; a wavelength of 1.5418 Å).
Intensities are scaled so that the largest is 100.

Structural model:
Cell: 8.898 8.898 8.898 Å, 31.69 31.69 31.69°
Element x y z (fractional)
Pa (0.000, 0.000, 0.000)
Pa (0.142, 0.142, 0.142)
Pa (0.858, 0.858, 0.858)
Fe (0.081, 0.582, 0.582)
Fe (0.418, 0.418, 0.919)
Fe (0.418, 0.919, 0.418)
Fe (0.500, 0.500, 0.500)
Fe (0.582, 0.081, 0.582)
Fe (0.582, 0.582, 0.081)
Fe (0.919, 0.418, 0.418)
Co (0.333, 0.333, 0.333)
Co (0.667, 0.667, 0.667)

Main lines, in order of rising 2θ (15 to 90 degrees two-theta):
- 2θ 21.41, I 36
- 2θ 32.63, I 73
- 2θ 35.48, I 46
- 2θ 37.00, I 66
- 2θ 42.95, I 100
- 2θ 43.14, I 38
- 2θ 63.94, I 22
- 2θ 70.78, I 22